Record 1
Theoretical powder X-ray diffraction pattern of FeOF for a wavelength of 1.5418 Å, from a cell relaxed with PBE+U.

Main lines, by angle (5 to 70 degrees two-theta):
Position (°2θ)  I (rel.)
26.54  92
26.69  90
34.62  100
39.60  19
52.26  53
52.42  52
54.98  15
59.76  18
66.44  18
66.55  40

Atomic structure:
```
FeOF
1.0
9.4801 0.0000 0.0000
0.0000 3.0947 0.0000
-0.0770 0.0000 14.1993
Fe O F
12 12 12
direct
0.0000 0.0000 0.0000
0.0024 0.0000 0.6612
0.2180 0.5000 0.4936
0.2491 0.5000 0.1432
0.2784 0.5000 0.8281
0.4907 0.0000 0.9965
0.4978 0.0000 0.6689
0.5070 0.0000 0.3289
0.7499 0.5000 0.4773
0.7536 0.5000 0.8075
0.7847 0.5000 0.1600
0.9956 0.0000 0.3330
0.0960 0.5000 0.5970
0.1556 0.0000 0.4227
0.1576 0.0000 0.0911
0.3565 0.0000 0.8922
0.4000 0.5000 0.7180
0.4141 0.5000 0.0629
0.6473 0.0000 0.4215
0.6536 0.0000 0.7583
0.8548 0.0000 0.2258
0.9044 0.5000 0.3923
0.9052 0.5000 0.0517
0.9083 0.5000 0.7229
0.0996 0.5000 0.9226
0.1083 0.5000 0.2577
0.1586 0.0000 0.7666
0.3534 0.0000 0.5507
0.3536 0.0000 0.2287
0.4037 0.5000 0.3864
0.5932 0.5000 0.2556
0.5996 0.5000 0.5885
0.6091 0.5000 0.9309
0.6602 0.0000 0.0962
0.8382 0.0000 0.5547
0.8536 0.0000 0.8886
```

Record 2
Theoretical powder X-ray diffraction pattern of MgFe2Ag2O4 for a wavelength of 1.5418 Å, from a cell relaxed with PBE+U.

Main lines, by angle (5 to 70 degrees two-theta):
Position (°2θ)  I (rel.)
6.04  61
12.10  52
30.55  100
33.34  56
33.48  91
34.10  56
36.05  95
36.79  43
37.29  93
59.28  69

Atomic structure:
```
MgFe2Ag2O4
1.0
2.6990 -1.5596 0.0000
2.6990 1.5596 0.0000
-1.4474 0.0000 14.6292
Mg Fe Ag O
1 2 2 4
direct
0.0000 0.0000 0.0000
0.1432 0.1432 0.3875
0.2804 0.2804 0.8076
0.4499 0.4499 0.1662
0.8776 0.8776 0.6026
0.3165 0.3165 0.9415
0.4589 0.4589 0.3212
0.8295 0.8295 0.4600
0.9315 0.9315 0.7526
```

Record 3
Theoretical powder X-ray diffraction pattern of Na6Cr2PC4O16 for a wavelength of 1.5418 Å, from a cell relaxed with PBE+U.

Main lines, by angle (5 to 70 degrees two-theta):
Position (°2θ)  I (rel.)
10.94  21
21.03  72
33.23  100
36.28  48
38.00  17
42.82  14
46.28  20
55.68  14
56.93  31
57.34  16

Atomic structure:
```
Na6Cr2PC4O16
1.0
0.0000 7.0041 7.0041
7.0041 0.0000 7.0041
7.0041 7.0041 0.0000
Na Cr P C O
12 4 2 8 32
direct
0.0806 0.0806 0.6694
0.0806 0.6694 0.0806
0.0806 0.6694 0.6694
0.3306 0.3306 0.9194
0.3306 0.9194 0.3306
0.3306 0.9194 0.9194
0.6694 0.0806 0.0806
0.6694 0.0806 0.6694
0.6694 0.6694 0.0806
0.9194 0.3306 0.3306
0.9194 0.3306 0.9194
0.9194 0.9194 0.3306
0.0000 0.5000 0.5000
0.5000 0.0000 0.5000
0.5000 0.5000 0.0000
0.5000 0.5000 0.5000
0.1250 0.1250 0.1250
0.8750 0.8750 0.8750
0.2843 0.2843 0.2843
0.2843 0.2843 0.6472
0.2843 0.6472 0.2843
0.3528 0.7157 0.7157
0.6472 0.2843 0.2843
0.7157 0.3528 0.7157
0.7157 0.7157 0.3528
0.7157 0.7157 0.7157
0.0606 0.0606 0.0606
0.0606 0.0606 0.3181
0.0606 0.3181 0.0606
0.1415 0.3088 0.6495
0.1415 0.4002 0.3088
0.1415 0.6495 0.4002
0.3088 0.1415 0.4002
0.3088 0.4002 0.6495
0.3088 0.6495 0.1415
0.3181 0.0606 0.0606
0.3505 0.5998 0.8585
0.3505 0.6912 0.5998
0.3505 0.8585 0.6912
0.4002 0.1415 0.6495
0.4002 0.3088 0.1415
0.4002 0.6495 0.3088
0.5998 0.3505 0.6912
0.5998 0.6912 0.8585
0.5998 0.8585 0.3505
0.6495 0.1415 0.3088
0.6495 0.3088 0.4002
0.6495 0.4002 0.1415
0.6819 0.9394 0.9394
0.6912 0.3505 0.8585
0.6912 0.5998 0.3505
0.6912 0.8585 0.5998
0.8585 0.3505 0.5998
0.8585 0.5998 0.6912
0.8585 0.6912 0.3505
0.9394 0.6819 0.9394
0.9394 0.9394 0.6819
0.9394 0.9394 0.9394
```

Record 4
Theoretical powder X-ray diffraction pattern of ErCoO3 for a wavelength of 1.5418 Å, from a cell relaxed with PBE+U.

Main lines, by angle (5 to 70 degrees two-theta):
Position (°2θ)  I (rel.)
23.77  18
26.72  28
32.68  16
34.16  100
34.98  45
48.65  15
49.52  15
50.30  16
54.79  21
62.26  20

Atomic structure:
```
ErCoO3
1.0
5.4802 0.0000 0.0000
0.0000 7.3626 0.0000
0.0000 0.0000 5.1250
Er Co O
4 4 12
direct
0.0763 0.2500 0.0218
0.4237 0.7500 0.5218
0.5763 0.2500 0.4782
0.9237 0.7500 0.9782
0.0000 0.0000 0.5000
0.0000 0.5000 0.5000
0.5000 0.0000 0.0000
0.5000 0.5000 0.0000
0.0316 0.7500 0.3938
0.1969 0.5525 0.8100
0.1969 0.9475 0.8100
0.3031 0.0525 0.3100
0.3031 0.4475 0.3100
0.4684 0.2500 0.8938
0.5316 0.7500 0.1062
0.6969 0.5525 0.6900
0.6969 0.9475 0.6900
0.8031 0.0525 0.1900
0.8031 0.4475 0.1900
0.9684 0.2500 0.6062
```